TbInF4: theoretical X-ray powder pattern (λ = 1.5418 Å (Cu Kα)), based on a structure optimized by DFT (GGA-PBE).

The 6 most intense peaks (10 to 90 degrees two-theta), in order of rising 2θ:
| 2theta | I/Imax |
| --- | --- |
| 21.66 | 100 |
| 29.62 | 29 |
| 30.82 | 24 |
| 36.99 | 69 |
| 48.89 | 31 |
| 49.69 | 21 |

Structural model:
Cell lengths 8.206, 8.206, 3.243 Å; angles 90.00, 90.00, 90.00 degrees
Space group I-4 (No. 82)
Inequivalent atoms, fractional coordinates:
Tb (0.000, 0.000, 0.000)
In (0.000, 0.500, 0.750)
F (0.037, 0.209, 0.398)